(1)
Starting from a crystal structure in the Materials Project, relaxed with PBE, the X-ray powder pattern of InH7N2OF4 was calculated for copper Kα.
Neutral-atom scattering factors, no anomalous dispersion.

The 10 most intense peaks (2θ = 10–80°), in order of rising 2θ:
2θ/deg	d [Å]	I/Imax
13.9	6.374	100
19.1	4.649	12
20.3	4.377	19
23.1	3.853	9
25.3	3.527	17
27.6	3.229	15
27.8	3.204	19
28.0	3.187	14
34.0	2.638	11
44.5	2.037	9

Cell and atoms:
```
InH7N2OF4
1.0
6.887 0.000 0.000
0.000 8.755 0.000
0.000 0.000 9.298
In H N O F
4 28 8 4 16
direct
0.135 0.215 0.053 In
0.365 0.785 0.553 In
0.635 0.285 0.947 In
0.865 0.715 0.447 In
0.000 0.498 0.238 H
0.000 0.998 0.262 H
0.064 0.662 0.800 H
0.068 0.072 0.581 H
0.070 0.396 0.608 H
0.221 0.291 0.713 H
0.230 0.016 0.297 H
0.245 0.287 0.532 H
0.255 0.713 0.032 H
0.270 0.984 0.797 H
0.279 0.709 0.213 H
0.430 0.604 0.108 H
0.432 0.928 0.081 H
0.436 0.338 0.300 H
0.500 0.002 0.762 H
0.500 0.502 0.738 H
0.564 0.838 0.200 H
0.568 0.428 0.419 H
0.570 0.104 0.392 H
0.721 0.209 0.287 H
0.730 0.484 0.703 H
0.745 0.213 0.468 H
0.755 0.787 0.968 H
0.770 0.516 0.203 H
0.779 0.791 0.787 H
0.930 0.896 0.892 H
0.932 0.572 0.919 H
0.936 0.162 0.700 H
0.001 0.673 0.900 N
0.145 0.292 0.615 N
0.355 0.708 0.115 N
0.499 0.327 0.400 N
0.501 0.827 0.100 N
0.645 0.208 0.385 N
0.855 0.792 0.885 N
0.999 0.173 0.600 N
0.123 0.050 0.232 O
0.377 0.950 0.732 O
0.623 0.450 0.768 O
0.877 0.550 0.268 O
0.056 0.835 0.602 F
0.111 0.023 0.918 F
0.173 0.700 0.379 F
0.178 0.410 0.176 F
0.322 0.590 0.676 F
0.327 0.300 0.879 F
0.389 0.977 0.418 F
0.444 0.165 0.102 F
0.556 0.665 0.398 F
0.611 0.477 0.082 F
0.673 0.800 0.621 F
0.678 0.090 0.824 F
0.822 0.910 0.324 F
0.827 0.200 0.121 F
0.889 0.523 0.582 F
0.944 0.335 0.898 F
```



(2)
Starting from a crystal structure in the Materials Project, relaxed with PBE, the X-ray powder pattern of NaCoN was calculated for copper Kα.
Neutral-atom scattering factors, no anomalous dispersion.

The 10 most intense peaks (2θ = 10–80°), in order of rising 2θ:
2θ/deg	d [Å]	I/Imax
14.6	6.048	74
18.2	4.880	80
19.6	4.535	100
26.1	3.416	36
29.6	3.020	29
30.7	2.909	39
35.2	2.548	51
38.7	2.326	31
40.5	2.226	50
52.8	1.735	20

Cell and atoms:
```
NaCoN
1.0
10.248 -1.735 0.000
10.248 1.735 0.000
-1.938 0.000 6.055
Na Co N
4 4 4
direct
0.038 0.038 0.306 Na
0.194 0.194 0.661 Na
0.806 0.806 0.339 Na
0.962 0.962 0.694 Na
0.109 0.109 0.967 Co
0.339 0.339 0.802 Co
0.661 0.661 0.198 Co
0.891 0.891 0.033 Co
0.082 0.082 0.698 N
0.171 0.171 0.251 N
0.829 0.829 0.749 N
0.918 0.918 0.302 N
```